# 1
Structure and simulated PXRD pattern of Sc2Cd3W4N3 (a DFT-relaxed cell (PBE, OQMD); λ = 1.5418 Å (Cu Kα)).
Neutral-atom scattering factors, no anomalous dispersion.

Most intense lines, 2θ = 10–80°, sorted by position:
13.01°, 6.806 Å, intensity 15.1
18.42°, 4.817 Å, intensity 32.9
18.88°, 4.701 Å, intensity 18.8
32.14°, 2.785 Å, intensity 20.0
37.72°, 2.385 Å, intensity 100.0
38.07°, 2.364 Å, intensity 47.9
39.74°, 2.268 Å, intensity 28.6
56.99°, 1.616 Å, intensity 16.4

Cell and atoms:
Lattice parameters (Å, degrees): 5.571 5.571 13.953 100.93 100.93 60.49
Element x y z (fractional)
Sc 0.031 0.868 0.599
Sc 0.132 0.969 0.901
Sc 0.868 0.031 0.099
Sc 0.969 0.132 0.401
Cd 0.079 0.335 0.748
Cd 0.335 0.079 0.248
Cd 0.494 0.506 0.750
Cd 0.506 0.494 0.250
Cd 0.665 0.921 0.752
Cd 0.921 0.665 0.252
W 0.194 0.365 0.069
W 0.322 0.462 0.430
W 0.365 0.194 0.569
W 0.462 0.322 0.930
W 0.538 0.678 0.070
W 0.635 0.806 0.431
W 0.678 0.538 0.570
W 0.806 0.635 0.931
N 0.000 0.500 0.500
N 0.151 0.698 0.000
N 0.302 0.849 0.500
N 0.500 0.000 0.000
N 0.698 0.151 0.500
N 0.849 0.302 0.000

# 2
Structure and simulated PXRD pattern of La2PrTa2N6 (a DFT-relaxed cell (PBE, OQMD); λ = 1.5418 Å (Cu Kα)).
Neutral-atom scattering factors, no anomalous dispersion.

Most intense lines, 2θ = 10–80°, sorted by position:
17.77°, 4.990 Å, intensity 9.9
31.11°, 2.875 Å, intensity 58.9
31.41°, 2.848 Å, intensity 100.0
44.57°, 2.033 Å, intensity 28.4
55.54°, 1.655 Å, intensity 41.4
56.09°, 1.640 Å, intensity 14.0
65.54°, 1.424 Å, intensity 11.1
73.69°, 1.286 Å, intensity 10.6

Cell and atoms:
Lattice parameters (Å, degrees): 10.386 10.386 10.386 157.43 157.43 32.14
Element x y z (fractional)
La 0.180 0.180 0.000
La 0.820 0.820 0.000
Pr 0.000 0.000 0.000
Ta 0.400 0.400 0.000
Ta 0.600 0.600 0.000
N 0.085 0.585 0.500
N 0.302 0.302 0.000
N 0.415 0.915 0.500
N 0.585 0.085 0.500
N 0.698 0.698 0.000
N 0.915 0.415 0.500

# 3
Structure and simulated PXRD pattern of Tm3Mg3AlGaHg (a DFT-relaxed cell (PBE, OQMD); λ = 1.5418 Å (Cu Kα)).
Neutral-atom scattering factors, no anomalous dispersion.

Most intense lines, 2θ = 10–80°, sorted by position:
20.06°, 4.426 Å, intensity 42.1
28.14°, 3.171 Å, intensity 50.5
31.72°, 2.821 Å, intensity 35.6
34.80°, 2.578 Å, intensity 100.0
40.78°, 2.213 Å, intensity 20.0
50.28°, 1.815 Å, intensity 21.0
56.28°, 1.635 Å, intensity 19.6
67.78°, 1.383 Å, intensity 19.6

Cell and atoms:
Lattice parameters (Å, degrees): 7.323 7.323 4.426 90.00 90.00 120.00
Element x y z (fractional)
Tm 0.004 0.575 0.000
Tm 0.425 0.429 0.000
Tm 0.571 0.996 0.000
Mg 0.002 0.249 0.500
Mg 0.247 0.998 0.500
Mg 0.751 0.753 0.500
Al 0.667 0.333 0.500
Ga 0.333 0.667 0.500
Hg 0.000 0.000 0.000

# 4
Structure and simulated PXRD pattern of CoH8C2S2N4Cl2 (a DFT-relaxed cell (PBE, OQMD); λ = 1.5418 Å (Cu Kα)).
Neutral-atom scattering factors, no anomalous dispersion.

Most intense lines, 2θ = 10–80°, sorted by position:
14.65°, 6.046 Å, intensity 89.9
17.00°, 5.215 Å, intensity 100.0
17.43°, 5.087 Å, intensity 82.6
17.88°, 4.960 Å, intensity 67.5
23.23°, 3.828 Å, intensity 56.9
26.78°, 3.329 Å, intensity 93.4
29.93°, 2.985 Å, intensity 97.2
35.27°, 2.545 Å, intensity 87.7

Cell and atoms:
Lattice parameters (Å, degrees): 6.955 6.955 10.724 97.84 97.84 108.32
Element x y z (fractional)
Co 0.184 0.816 0.500
Co 0.816 0.184 0.000
H 0.116 0.800 0.827
H 0.163 0.515 0.132
H 0.278 0.941 0.972
H 0.298 0.781 0.151
H 0.391 0.440 0.400
H 0.401 0.508 0.768
H 0.440 0.391 0.900
H 0.508 0.401 0.268
H 0.515 0.163 0.632
H 0.583 0.666 0.585
H 0.666 0.583 0.085
H 0.781 0.298 0.651
H 0.800 0.116 0.327
H 0.818 0.841 0.090
H 0.841 0.818 0.590
H 0.941 0.278 0.472
C 0.122 0.635 0.972
C 0.619 0.694 0.920
C 0.635 0.122 0.472
C 0.694 0.619 0.420
S 0.404 0.961 0.377
S 0.693 0.900 0.843
S 0.900 0.693 0.343
S 0.961 0.404 0.877
N 0.173 0.804 0.921
N 0.200 0.646 0.094
N 0.482 0.515 0.856
N 0.515 0.482 0.356
N 0.646 0.200 0.594
N 0.700 0.710 0.043
N 0.710 0.700 0.543
N 0.804 0.173 0.421
Cl 0.042 0.175 0.168
Cl 0.175 0.042 0.668
Cl 0.224 0.541 0.576
Cl 0.541 0.224 0.076

# 5
Structure and simulated PXRD pattern of Ta8Al5 (a DFT-relaxed cell (PBE, OQMD); λ = 1.5418 Å (Cu Kα)).
Neutral-atom scattering factors, no anomalous dispersion.

Most intense lines, 2θ = 10–80°, sorted by position:
19.11°, 4.644 Å, intensity 100.0
37.37°, 2.406 Å, intensity 25.3
37.83°, 2.378 Å, intensity 77.3
38.26°, 2.353 Å, intensity 27.9
40.31°, 2.237 Å, intensity 25.9
41.14°, 2.194 Å, intensity 45.0
44.25°, 2.047 Å, intensity 33.1
68.03°, 1.378 Å, intensity 22.6

Cell and atoms:
Lattice parameters (Å, degrees): 9.817 9.817 9.817 32.61 32.61 32.61
Element x y z (fractional)
Ta 0.050 0.050 0.050
Ta 0.084 0.591 0.591
Ta 0.409 0.409 0.916
Ta 0.409 0.916 0.409
Ta 0.591 0.084 0.591
Ta 0.591 0.591 0.084
Ta 0.916 0.409 0.409
Ta 0.950 0.950 0.950
Al 0.149 0.149 0.149
Al 0.333 0.333 0.333
Al 0.500 0.500 0.500
Al 0.667 0.667 0.667
Al 0.851 0.851 0.851